Simulated X-ray powder pattern
Compound: NaCoClF2
Radiation: Cu Kα X-rays
Structure: the PBE+U geometry in Alexandria

Atomic structure:
Unit cell a=5.587 b=5.587 c=10.652 alpha=90.00 beta=90.00 gamma=90.00
Space group I4cm (No. 108)
Symmetry-distinct sites (fractional):
Na 0.000 0.500 0.000 x4
Co 0.000 0.000 0.177 x4
Cl 0.000 0.000 0.400 x4
F 0.243 0.257 0.141 x8

The 6 most intense peaks (10° ≤ 2θ ≤ 90°), in order of rising 2θ:
2theta	I/Imax	(hkl)
16.65	54.3	0 0 2
22.50	100.0	1 1 0
28.12	56.1	1 1 2
32.04	48.3	2 0 0
40.87	79.1	1 1 4
45.94	61.5	2 2 0